No. 1
Theoretical X-ray diffraction stick pattern of Ce2MnGa8 for Cu Kα, 1.54184 Å, from DFT lattice parameters and positions (GGA-PBE).

Crystal structure
```
Ce2MnGa8
1.0
4.3409 0.0000 0.0000
0.0000 4.3409 0.0000
0.0000 0.0000 11.3157
Ce Mn Ga
2 1 8
Direct
0.0000 0.0000 0.1954
0.0000 0.0000 0.8046
0.0000 0.0000 0.5000
0.0000 0.5000 0.0000
0.0000 0.5000 0.3818
0.0000 0.5000 0.6182
0.5000 0.0000 0.0000
0.5000 0.0000 0.3818
0.5000 0.0000 0.6182
0.5000 0.5000 0.1907
0.5000 0.5000 0.8093
```

Peak list (10 most intense, 2θ from 15° to 90°, most intense first)
- 2θ 37.79, intensity 100
- 2θ 41.61, intensity 57
- 2θ 33.21, intensity 48
- 2θ 73.40, intensity 27
- 2θ 58.96, intensity 27
- 2θ 39.83, intensity 22
- 2θ 60.31, intensity 18
- 2θ 20.46, intensity 15
- 2θ 73.76, intensity 14
- 2θ 74.73, intensity 13

=====

No. 2
Theoretical X-ray diffraction stick pattern of Ce2MnGa4Pt3 for Cu Kα, 1.54184 Å, from DFT lattice parameters and positions (GGA-PBE).

Crystal structure
```
Ce2MnGa4Pt3
1.0
4.1710 0.0000 0.0000
0.0000 4.1710 0.0000
0.0000 0.0000 10.9317
Ce Mn Ga Pt
2 1 4 3
Direct
0.0000 0.5000 0.2463
0.5000 0.0000 0.7537
0.0000 0.0000 0.5000
0.0000 0.0000 0.0000
0.0000 0.5000 0.6341
0.5000 0.0000 0.3659
0.5000 0.5000 0.0000
0.0000 0.5000 0.8625
0.5000 0.0000 0.1375
0.5000 0.5000 0.5000
```

Peak list (10 most intense, 2θ from 15° to 90°, most intense first)
- 2θ 34.56, intensity 100
- 2θ 32.63, intensity 69
- 2θ 43.39, intensity 68
- 2θ 46.92, intensity 45
- 2θ 45.23, intensity 33
- 2θ 65.81, intensity 33
- 2θ 55.33, intensity 32
- 2θ 63.04, intensity 22
- 2θ 26.89, intensity 22
- 2θ 73.92, intensity 21

=====

No. 3
Theoretical X-ray diffraction stick pattern of Ce2MnGa4Si2 for Cu Kα, 1.54184 Å, from DFT lattice parameters and positions (GGA-PBE).

Crystal structure
```
Ce2MnGa4Si2
1.0
-3.0976 3.0976 4.3276
3.0976 -3.0976 4.3276
3.0976 3.0976 -4.3276
Ce Mn Ga Si
2 1 4 2
Direct
0.2500 0.7500 0.5000
0.7500 0.2500 0.5000
0.0000 0.0000 0.0000
0.2834 0.2834 0.5667
0.2834 0.7166 0.0000
0.7166 0.2834 0.0000
0.7166 0.7166 0.4333
0.2803 0.2803 0.0000
0.7197 0.7197 0.0000
```

Peak list (10 most intense, 2θ from 15° to 90°, most intense first)
- 2θ 35.64, intensity 100
- 2θ 29.00, intensity 50
- 2θ 41.22, intensity 45
- 2θ 60.11, intensity 28
- 2θ 41.74, intensity 24
- 2θ 71.51, intensity 18
- 2θ 20.27, intensity 15
- 2θ 51.18, intensity 14
- 2θ 59.70, intensity 13
- 2θ 75.49, intensity 12